Starting from DFT lattice parameters and positions (GGA-PBE), the powder X-ray diffraction pattern of PmGaAs2O8 was calculated for Cu Kα, 1.54184 Å.
Lines closer than 0.1° are merged.

Crystal structure
```
data_PmGaAs2O8
_chemical_formula_sum 'Pm2 Ga2 As4 O16'
_cell_length_a 7.129
_cell_length_b 7.129
_cell_length_c 6.189
_cell_angle_alpha 90.00
_cell_angle_beta 90.00
_cell_angle_gamma 90.00
_space_group_name_H-M_alt 'I -4 m 2'
_space_group_IT_number 119
_space_group_name_Hall 'I -4 -2'
loop_
_atom_site_label
_atom_site_type_symbol
_atom_site_fract_x
_atom_site_fract_y
_atom_site_fract_z
Pm1 Pm 0.000 0.000 0.000
Ga1 Ga 0.000 0.500 0.250
As1 As 0.000 0.000 0.500
As2 As 0.000 0.500 0.750
O1 O 0.000 0.188 0.324
O2 O 0.000 0.327 0.944
```

Most intense lines, 2θ = 10–90°, low angle first:
hkl, 2θ/deg, intensity
2 0 0, 25.0, 100
1 1 2, 34.0, 63
2 2 0, 35.6, 21
3 1 2, 50.1, 58
4 0 0, 51.3, 15
4 2 0, 57.8, 13
3 3 2, 62.9, 18
2 0 4, 65.8, 11
5 1 2, 74.5, 13
5 3 2, 85.4, 11